1.
# PmPr
Simulated X-ray powder pattern, Cu Kα X-rays. Input: a DFT-relaxed cell (PBE, Alexandria).
Intensities are scaled so that the largest is 100.

Most intense lines, 2θ from 5° to 70°, in order of falling intensity:
2θ/deg, d/Å, I/Imax
29.68, 3.010, 100
34.46, 2.603, 34
58.81, 1.570, 29
49.41, 1.845, 24
34.29, 2.615, 17
58.59, 1.576, 15

Cell and atoms:
```
4
Lattice="-2.6026 2.6026 5.2299 2.6026 -2.6026 5.2299 2.6026 2.6026 -5.2299" Properties=species:S:1:pos:R:3 pbc="T T T"
Pm 2.6026 1.3013 1.3075
Pm 0.0000 1.3013 3.9224
Pr 2.6026 -1.3013 3.9224
Pr 0.0000 3.9039 1.3075
```


2.
# Pm3Pr4
Simulated X-ray powder pattern, Cu Kα X-rays. Input: a DFT-relaxed cell (PBE, Alexandria).
Intensities are scaled so that the largest is 100.

Most intense lines, 2θ from 5° to 70°, in order of falling intensity:
2θ/deg, d/Å, I/Imax
29.66, 3.012, 100
34.38, 2.609, 51
58.69, 1.573, 43
49.40, 1.845, 36
61.57, 1.506, 13

Cell and atoms:
```
7
Lattice="5.8314 -2.6093 0.0000 5.8314 2.6093 0.0000 -1.1564 0.0000 8.1688" Properties=species:S:1:pos:R:3 pbc="T T T"
Pm 0.0000 0.0000 0.0000
Pm 2.3368 0.0000 7.0140
Pm 8.1697 0.0000 1.1547
Pr 1.1754 0.0000 3.4940
Pr 4.6726 0.0000 2.3146
Pr 5.8339 0.0000 5.8542
Pr 9.3310 0.0000 4.6748
```


3.
# PmPrPt2
Simulated X-ray powder pattern, Cu Kα X-rays. Input: a DFT-relaxed cell (PBE, Alexandria).
Intensities are scaled so that the largest is 100.

Most intense lines, 2θ from 5° to 70°, in order of falling intensity:
2θ/deg, d/Å, I/Imax
31.12, 2.874, 100
39.10, 2.304, 88
39.46, 2.284, 34
32.88, 2.724, 31
38.48, 2.340, 25
46.18, 1.966, 22

Cell and atoms:
```
4
Lattice="4.5671 0.0000 0.0000 0.0000 1.9656 5.4486 0.0000 -1.9656 5.4486" Properties=species:S:1:pos:R:3 pbc="T T T"
Pm 0.0000 0.0000 0.0000
Pr 2.2835 0.0000 2.9870
Pt 0.0000 0.0000 7.8863
Pt 2.2835 0.0000 5.9758
```


4.
# PmPr3Pt2
Simulated X-ray powder pattern, Cu Kα X-rays. Input: a DFT-relaxed cell (PBE, Alexandria).
Intensities are scaled so that the largest is 100.

Most intense lines, 2θ from 5° to 70°, in order of falling intensity:
2θ/deg, d/Å, I/Imax
31.88, 2.807, 100
36.51, 2.461, 56
36.66, 2.451, 24
31.71, 2.822, 23
30.59, 2.922, 23
20.13, 4.411, 23

Cell and atoms:
```
12
Lattice="3.8986 0.0000 0.0000 0.0000 10.2073 0.0000 0.0000 0.0000 8.8095" Properties=species:S:1:pos:R:3 pbc="T T T"
Pm 0.0000 0.5650 0.0000
Pm 0.0000 9.6423 4.4047
Pr 0.0000 2.8236 5.8825
Pr 0.0000 7.3837 1.4777
Pr 1.9493 2.2485 2.8806
Pr 1.9493 4.5181 8.7536
Pr 1.9493 5.6892 4.3489
Pr 1.9493 7.9588 7.2854
Pt 0.0000 4.4400 2.3530
Pt 0.0000 5.7673 6.7578
Pt 1.9493 0.6410 6.4022
Pt 1.9493 9.5663 1.9975
```


5.
# PmPrPt
Simulated X-ray powder pattern, Cu Kα X-rays. Input: a DFT-relaxed cell (PBE, Alexandria).
Intensities are scaled so that the largest is 100.

Most intense lines, 2θ from 5° to 70°, in order of falling intensity:
2θ/deg, d/Å, I/Imax
32.60, 2.747, 100
29.64, 3.014, 87
40.61, 2.222, 45
37.08, 2.425, 40
40.34, 2.236, 40
56.15, 1.638, 35

Cell and atoms:
```
18
Lattice="7.6964 0.0000 0.0000 -3.8482 6.6653 0.0000 0.0000 0.0000 9.6984" Properties=species:S:1:pos:R:3 pbc="T T T"
Pm -2.2779 3.9621 2.4246
Pm 1.5559 2.7116 2.4246
Pm 1.5703 2.7032 7.2738
Pm 0.7220 6.6570 2.4246
Pm 4.5702 0.0083 7.2738
Pm 5.4041 3.9537 7.2738
Pr -1.0131 1.7547 0.0000
Pr -1.0131 1.7547 4.8492
Pr 2.0262 0.0000 0.0000
Pr 2.0262 0.0000 4.8492
Pr 2.8351 4.9106 0.0000
Pr 2.8351 4.9106 4.8492
Pt 0.0000 0.0000 2.4246
Pt 0.0000 0.0000 7.2738
Pt 0.0000 4.4435 0.0264
Pt 0.0000 4.4435 4.8228
Pt 3.8482 2.2218 4.8757
Pt 3.8482 2.2218 9.6720
```


6.
# Pm2Pr2Pt3
Simulated X-ray powder pattern, Cu Kα X-rays. Input: a DFT-relaxed cell (PBE, Alexandria).
Intensities are scaled so that the largest is 100.

Most intense lines, 2θ from 5° to 70°, in order of falling intensity:
2θ/deg, d/Å, I/Imax
31.31, 2.857, 100
37.24, 2.415, 52
63.47, 1.466, 27
51.58, 1.772, 26
44.86, 2.020, 18
47.18, 1.926, 13

Cell and atoms:
```
14
Lattice="-4.5177 4.5177 4.5177 4.5177 -4.5177 4.5177 4.5177 4.5177 -4.5177" Properties=species:S:1:pos:R:3 pbc="T T T"
Pm 5.0597 -0.5421 0.5421
Pm 0.5421 5.0597 -0.5421
Pm -0.5421 0.5421 5.0597
Pm 3.9756 3.9756 3.9756
Pr 2.8104 1.7073 -1.7073
Pr 1.7073 -1.7073 2.8104
Pr 1.7073 1.7073 1.7073
Pr -1.7073 2.8104 1.7073
Pt 4.5177 -2.2588 3.3527
Pt 3.3527 4.5177 -2.2588
Pt 4.5177 2.2588 1.1650
Pt 2.2588 1.1650 4.5177
Pt 1.1650 4.5177 2.2588
Pt -2.2588 3.3527 4.5177
```